Starting from the PBE geometry in the Materials Project, the powder X-ray diffraction pattern of Ce2CuGe3 was simulated for CuKα.
Lines closer than 0.1° are merged.

Structural model:
```
data_Ce2CuGe3
_cell_length_a 4.2722
_cell_length_b 4.2722
_cell_length_c 7.9843
_cell_angle_alpha 90.00
_cell_angle_beta 90.00
_cell_angle_gamma 120.00
_space_group_name_H-M_alt 'P -6 m 2'
_space_group_IT_number 187
_space_group_name_Hall 'P -6 2'
loop_
_atom_site_label
_atom_site_type_symbol
_atom_site_fract_x
_atom_site_fract_y
_atom_site_fract_z
Ce1 Ce 0.0000 0.0000 0.2481
Cu1 Cu 0.3333 0.6667 0.0000
Ge1 Ge 0.3333 0.6667 0.5000
Ge2 Ge 0.6667 0.3333 0.0000
Ge3 Ge 0.6667 0.3333 0.5000
```

Most intense lines, 5° ≤ 2θ ≤ 70°, in order of rising 2θ:
2theta	I_rel	h k l
24.05	10	1 0 0
33.01	100	1 0 2
42.31	45	1 1 0
45.44	12	0 0 4
49.26	2	2 0 0
52.06	3	1 0 4
54.68	23	2 0 2
63.82	26	1 1 4
66.91	1	2 1 0
69.25	1	2 0 4


Starting from the PBE geometry in the Materials Project, the powder X-ray diffraction pattern of Rb4Nb11O30 was simulated for CuKα.
Lines closer than 0.1° are merged.

Structural model:
```
data_Rb4Nb11O30
_cell_length_a 7.6147
_cell_length_b 7.6147
_cell_length_c 44.1504
_cell_angle_alpha 90.00
_cell_angle_beta 90.00
_cell_angle_gamma 120.00
_space_group_name_H-M_alt 'R -3 m'
_space_group_IT_number 166
_space_group_name_Hall '-R 3 2"'
loop_
_atom_site_label
_atom_site_type_symbol
_atom_site_fract_x
_atom_site_fract_y
_atom_site_fract_z
Rb1 Rb 0.0000 0.0000 0.0477
Rb2 Rb 0.0000 0.0000 0.2327
Nb1 Nb 0.0000 0.0000 0.3999
Nb2 Nb 0.0000 0.5000 0.0000
Nb3 Nb 0.0001 0.5000 0.1959
O1 O 0.0489 0.5244 0.1473
O2 O 0.0846 0.5423 0.0440
O3 O 0.0857 0.5429 0.2360
O4 O 0.0858 0.5429 0.3413
O5 O 0.1010 0.5505 0.5311
```

Most intense lines, 5° ≤ 2θ ≤ 70°, in order of rising 2θ:
2theta	I_rel	h k l
12.03	25	0 0 6
13.58	25	1 0 1
25.99	54	0 1 11
26.36	58	1 1 6
27.12	26	0 2 1
28.90	100	2 0 5
42.98	31	0 0 21
47.78	46	2 2 0
49.70	22	2 0 20
66.21	22	2 2 21


Starting from the PBE geometry in the Materials Project, the powder X-ray diffraction pattern of KPHNO2 was simulated for CuKα.
Lines closer than 0.1° are merged.

Structural model:
```
data_KPHNO2
_cell_length_a 12.8986
_cell_length_b 12.8986
_cell_length_c 10.2662
_cell_angle_alpha 90.00
_cell_angle_beta 90.00
_cell_angle_gamma 120.00
_space_group_name_H-M_alt 'R -3'
_space_group_IT_number 148
_space_group_name_Hall '-R 3'
loop_
_atom_site_label
_atom_site_type_symbol
_atom_site_fract_x
_atom_site_fract_y
_atom_site_fract_z
K1 K 0.0383 0.7752 0.0900
P1 P 0.0235 0.8780 0.6979
H1 H 0.0288 0.8611 0.4296
N1 N 0.0216 0.8897 0.3374
O1 O 0.0294 0.8566 0.8414
O2 O 0.0402 0.7989 0.6005
```

Most intense lines, 5° ≤ 2θ ≤ 70°, in order of rising 2θ:
2theta	I_rel	h k l
19.03	51	0 1 2
23.54	100	2 0 2
27.35	96	1 2 2
27.66	83	2 2 0
29.55	60	1 1 3
30.13	79	4 -3 1
33.25	51	4 0 1
36.87	77	4 1 0
39.29	52	2 3 2
50.32	44	5 -2 4